Record 1
This entry pairs a crystal structure of TbGaCo with its calculated powder diffraction line list. Radiation: Cu Kα X-rays. Structure: a DFT-relaxed cell (GGA-PBE, the Materials Project).
Lines closer than 0.1° are merged.

Atomic structure:
abc: 6.858 4.240 7.404
angles: 90.00 90.00 90.00
Element x y z (fractional)
Tb 0.019 0.250 0.191
Tb 0.481 0.750 0.691
Tb 0.519 0.250 0.309
Tb 0.981 0.750 0.809
Ga 0.172 0.250 0.578
Ga 0.328 0.750 0.078
Ga 0.672 0.250 0.922
Ga 0.828 0.750 0.422
Co 0.204 0.750 0.400
Co 0.296 0.250 0.900
Co 0.704 0.750 0.100
Co 0.796 0.250 0.600

Principal peaks in the range 5° ≤ 2θ ≤ 70°, low angle first:
d 3.679, I 21; d 2.583, I 66; d 2.516, I 31; d 2.509, I 100; d 2.322, I 20; d 2.184, I 22; d 2.133, I 34; d 2.120, I 35; d 1.621, I 16; d 1.555, I 14; d 1.521, I 13; d 1.362, I 23

Record 2
This entry pairs a crystal structure of K3Nb with its calculated powder diffraction line list. Radiation: Cu Kα X-rays. Structure: a DFT-relaxed cell (GGA-PBE, the Materials Project).
Lines closer than 0.1° are merged.

Atomic structure:
abc: 5.928 5.928 11.019
angles: 90.00 90.00 90.00
Element x y z (fractional)
K 0.000 0.000 0.000
K 0.000 0.500 0.250
K 0.000 0.500 0.750
K 0.500 0.000 0.250
K 0.500 0.000 0.750
K 0.500 0.500 0.500
Nb 0.000 0.000 0.500
Nb 0.500 0.500 0.000

Principal peaks in the range 5° ≤ 2θ ≤ 70°, low angle first:
d 5.221, I 18; d 4.192, I 5; d 3.336, I 100; d 2.964, I 36; d 2.755, I 15; d 2.578, I 6; d 2.096, I 12; d 2.018, I 22; d 1.775, I 29; d 1.682, I 12; d 1.668, I 12; d 1.354, I 6

Record 3
This entry pairs a crystal structure of Sr2CuSi2O7 with its calculated powder diffraction line list. Radiation: Cu Kα X-rays. Structure: a DFT-relaxed cell (GGA-PBE, the Materials Project).
Lines closer than 0.1° are merged.

Atomic structure:
abc: 8.206 8.206 5.111
angles: 90.00 90.00 90.00
Element x y z (fractional)
Sr 0.167 0.333 0.009
Sr 0.333 0.833 0.991
Sr 0.667 0.167 0.991
Sr 0.833 0.667 0.009
Cu 0.000 0.000 0.500
Cu 0.500 0.500 0.500
Si 0.136 0.636 0.537
Si 0.364 0.136 0.463
Si 0.636 0.864 0.463
Si 0.864 0.364 0.537
O 0.000 0.500 0.653
O 0.081 0.807 0.680
O 0.135 0.635 0.221
O 0.193 0.081 0.320
O 0.307 0.581 0.680
O 0.365 0.135 0.779
O 0.419 0.307 0.320
O 0.500 0.000 0.347
O 0.581 0.693 0.320
O 0.635 0.865 0.779
O 0.693 0.419 0.680
O 0.807 0.919 0.320
O 0.865 0.365 0.221
O 0.919 0.193 0.680

Principal peaks in the range 5° ≤ 2θ ≤ 70°, low angle first:
d 3.836, I 27; d 3.200, I 47; d 2.981, I 100; d 2.595, I 30; d 2.556, I 12; d 2.097, I 18; d 1.990, I 12; d 1.855, I 13; d 1.821, I 27; d 1.809, I 15; d 1.545, I 11; d 1.460, I 12

Record 4
This entry pairs a crystal structure of NaSm3Ti2Sb2O14 with its calculated powder diffraction line list. Radiation: Cu Kα X-rays. Structure: a DFT-relaxed cell (GGA-PBE, the Materials Project).
Lines closer than 0.1° are merged.

Atomic structure:
abc: 7.387 7.348 12.730
angles: 90.00 125.11 90.00
Element x y z (fractional)
Na 0.000 0.000 0.000
Na 0.000 0.000 0.500
Sm 0.000 0.243 0.250
Sm 0.000 0.500 0.000
Sm 0.000 0.500 0.500
Sm 0.000 0.757 0.750
Sm 0.500 0.228 0.250
Sm 0.500 0.772 0.750
Ti 0.500 0.263 0.750
Ti 0.500 0.500 0.000
Ti 0.500 0.500 0.500
Ti 0.500 0.737 0.250
Sb 0.000 0.255 0.750
Sb 0.000 0.745 0.250
Sb 0.500 0.000 0.000
Sb 0.500 0.000 0.500
O 0.131 0.256 0.129
O 0.131 0.744 0.629
O 0.171 0.047 0.872
O 0.171 0.953 0.372
O 0.177 0.455 0.877
O 0.177 0.545 0.377
O 0.180 0.269 0.679
O 0.180 0.731 0.179
O 0.423 0.250 0.423
O 0.423 0.750 0.923
O 0.427 0.447 0.622
O 0.427 0.553 0.122
O 0.443 0.053 0.632
O 0.443 0.947 0.132
O 0.557 0.053 0.868
O 0.557 0.947 0.368
O 0.573 0.447 0.878
O 0.573 0.553 0.378
O 0.577 0.250 0.077
O 0.577 0.750 0.577
O 0.820 0.269 0.821
O 0.820 0.731 0.321
O 0.823 0.455 0.623
O 0.823 0.545 0.123
O 0.829 0.047 0.628
O 0.829 0.953 0.128
O 0.869 0.256 0.371
O 0.869 0.744 0.871

Principal peaks in the range 5° ≤ 2θ ≤ 70°, low angle first:
d 6.007, I 9; d 5.208, I 5; d 4.660, I 25; d 3.022, I 35; d 3.002, I 100; d 2.604, I 40; d 1.846, I 32; d 1.837, I 31; d 1.575, I 14; d 1.570, I 27; d 1.567, I 14; d 1.501, I 10

Record 5
This entry pairs a crystal structure of Ga2Hg5Se8 with its calculated powder diffraction line list. Radiation: Cu Kα X-rays. Structure: a DFT-relaxed cell (GGA-PBE, the Materials Project).
Lines closer than 0.1° are merged.

Atomic structure:
abc: 8.470 8.470 8.470
angles: 119.04 119.04 91.67
Element x y z (fractional)
Ga 0.238 0.238 0.000
Ga 0.762 0.762 0.000
Hg 0.235 0.235 0.470
Hg 0.235 0.765 0.000
Hg 0.250 0.750 0.500
Hg 0.765 0.235 0.000
Hg 0.765 0.765 0.530
Se 0.369 0.138 0.770
Se 0.369 0.599 0.230
Se 0.401 0.631 0.770
Se 0.402 0.147 0.255
Se 0.853 0.108 0.255
Se 0.853 0.598 0.745
Se 0.862 0.631 0.230
Se 0.892 0.147 0.745

Principal peaks in the range 5° ≤ 2θ ≤ 70°, low angle first:
d 6.946, I 9; d 4.296, I 9; d 3.473, I 100; d 2.701, I 9; d 2.432, I 6; d 2.336, I 6; d 2.148, I 24; d 2.117, I 44; d 1.827, I 30; d 1.789, I 14; d 1.519, I 7; d 1.374, I 11